Calculated powder XRD pattern of Ni3Sn4 for CuKα, from DFT lattice parameters and positions (PBE).

Structure:
abc: 12.2806 4.0939 5.2705
angles: 90.00 105.19 90.00
Space group C2/m (No. 12)
Symmetry-distinct sites (fractional):
Ni 0.0000 0.0000 0.0000 [2 per cell]
Ni 0.2159 0.0000 0.3365 [4 per cell]
Sn 0.0717 0.5000 0.3126 [4 per cell]
Sn 0.1718 0.0000 0.8122 [4 per cell]

The 10 most intense peaks (10 to 80 degrees two-theta), by angle:
2θ/deg	Rel. int.
30.19	80
30.68	35
31.47	51
33.07	30
35.29	23
39.11	31
42.18	23
43.02	79
44.20	100
44.26	21